Entry 1:
# MgCr2S4
Theoretical powder X-ray diffraction pattern, Cu Ka. Input: a DFT-relaxed cell (GGA-PBE, the Materials Project).

Principal peaks in the range 15 to 90 degrees two-theta, in order of falling intensity:
| two_theta | d_spacing | intensity | hkl |
| --- | --- | --- | --- |
| 17.74 | 4.999 | 1000 | 1 0 0 |
| 28.15 | 3.169 | 795 | 1 1 -2 |
| 17.17 | 5.165 | 489 | 0 1 0 |
| 27.77 | 3.213 | 485 | 1 -1 1 |
| 47.62 | 1.910 | 280 | 0 2 -3 |
| 48.55 | 1.875 | 258 | 2 0 1 |

a = 5.808 Å, b = 6.073 Å, c = 6.429 Å
α = 117.44°, β = 116.12°, γ = 91.34°
Space group P1 (No. 1)
Asymmetric unit:
Mg 0.000 0.000 0.000 [1 per cell]
Cr 0.063 0.564 0.129 [1 per cell]
Cr 0.312 0.312 0.625 [1 per cell]
S 0.187 0.637 0.874 [1 per cell]
S 0.375 0.415 0.351 [1 per cell]
S 0.685 0.237 0.876 [1 per cell]
S 0.975 0.935 0.351 [1 per cell]

***

Entry 2:
# Sc2O3
Theoretical powder X-ray diffraction pattern, Cu Ka. Input: a DFT-relaxed cell (GGA-PBE, the Materials Project).

Principal peaks in the range 15 to 90 degrees two-theta, in order of falling intensity:
| two_theta | d_spacing | intensity | hkl |
| --- | --- | --- | --- |
| 30.97 | 2.887 | 1000 | 1 2 2 |
| 28.59 | 3.123 | 405 | 0 1 3 |
| 57.55 | 1.602 | 378 | 1 3 5 |
| 58.79 | 1.571 | 338 | 3 3 0 |
| 34.38 | 2.608 | 265 | 1 3 1 |
| 37.89 | 2.375 | 215 | 1 3 2 |

a = 5.458 Å, b = 9.335 Å, c = 9.941 Å
α = 90.00°, β = 90.00°, γ = 90.00°
Space group Pna2_1 (No. 33)
Asymmetric unit:
Sc 0.171 0.030 0.000 [4 per cell]
Sc 0.177 0.353 0.198 [4 per cell]
Sc 0.180 0.662 0.010 [4 per cell]
Sc 0.185 0.345 0.786 [4 per cell]
O 0.009 0.825 0.130 [4 per cell]
O 0.023 0.172 0.142 [4 per cell]
O 0.030 0.483 0.634 [4 per cell]
O 0.159 0.666 0.373 [4 per cell]
O 0.162 0.338 0.400 [4 per cell]
O 0.166 0.993 0.411 [4 per cell]

***

Entry 3:
# MgB2
Theoretical powder X-ray diffraction pattern, Cu Ka. Input: a DFT-relaxed cell (GGA-PBE, the Materials Project).

Principal peaks in the range 15 to 90 degrees two-theta, in order of falling intensity:
| two_theta | d_spacing | intensity | hkl |
| --- | --- | --- | --- |
| 42.52 | 2.126 | 1000 | 1 0 1 |
| 33.67 | 2.662 | 274 | 1 0 0 |
| 60.22 | 1.537 | 237 | 1 1 0 |
| 83.33 | 1.160 | 181 | 1 1 2 |
| 76.48 | 1.246 | 154 | 2 0 1 |
| 51.73 | 1.767 | 131 | 0 0 2 |

a = 3.0737 Å, b = 3.0737 Å, c = 3.5344 Å
α = 90.00°, β = 90.00°, γ = 120.00°
Space group P6/mmm (No. 191)
Asymmetric unit:
Mg 0.0000 0.0000 0.0000 [1 per cell]
B 0.3333 0.6667 0.5000 [2 per cell]

***

Question: Which formula does entry 3 have?
Answer: MgB2